Record 1
# Lu2PaCu
Simulated X-ray diffraction stick pattern, Cu Kα (λ = 1.5418 Å). Input: the GGA-PBE geometry in Alexandria.

Cell and atoms:
Cell: 3.375 3.375 8.116 Å, 90.00 90.00 90.00°
Space group P4/mmm (No. 123)
One atom of each set of equivalent atoms:
Lu (0.000, 0.000, 0.209) [2 per cell]
Pa (0.500, 0.500, 0.500) [1 per cell]
Cu (0.500, 0.500, 0.000) [1 per cell]

Peak list (10 most intense, 10° ≤ 2θ ≤ 80°, sorted by position)
hkl 1 0 1, 2θ 28.64, I 26.9
hkl 0 0 3, 2θ 33.11, I 12.3
hkl 1 0 2, 2θ 34.56, I 100.0
hkl 1 1 0, 2θ 37.69, I 45.7
hkl 0 0 4, 2θ 44.66, I 7.8
hkl 1 1 3, 2θ 51.03, I 15.1
hkl 2 0 0, 2θ 54.36, I 16.0
hkl 1 1 4, 2θ 59.83, I 13.1
hkl 1 0 5, 2θ 63.61, I 12.0
hkl 2 1 2, 2θ 66.04, I 30.9

---

Record 2
# LuCuPbSe3
Simulated X-ray diffraction stick pattern, Cu Kα (λ = 1.5418 Å). Input: the GGA-PBE geometry in Alexandria.

Cell and atoms:
Cell: 4.028 10.446 7.116 Å, 90.00 106.40 90.00°
Space group P2_1/m (No. 11)
One atom of each set of equivalent atoms:
Lu (0.000, 0.000, 0.000) [2 per cell]
Cu (0.472, 0.250, 0.938) [2 per cell]
Pb (0.238, 0.750, 0.481) [2 per cell]
Se (0.080, 0.250, 0.158) [2 per cell]
Se (0.362, 0.061, 0.724) [4 per cell]

Peak list (10 most intense, 10° ≤ 2θ ≤ 80°, sorted by position)
hkl 0 2 1, 2θ 21.42, I 49.1
hkl 1 1 -2, 2θ 30.86, I 80.9
hkl 0 4 0, 2θ 34.34, I 100.0
hkl 1 3 0, 2θ 34.68, I 33.9
hkl 1 3 -2, 2θ 39.53, I 20.4
hkl 0 2 3, 2θ 43.38, I 29.0
hkl 0 4 2, 2θ 43.64, I 35.9
hkl 2 0 -1, 2θ 45.02, I 27.6
hkl 1 5 -2, 2θ 53.34, I 22.6
hkl 2 2 -4, 2θ 64.29, I 18.3

---

Record 3
# LuCuPbSe3
Simulated X-ray diffraction stick pattern, Cu Kα (λ = 1.5418 Å). Input: the GGA-PBE geometry in Alexandria.

Cell and atoms:
Cell: 10.485 4.028 13.649 Å, 90.00 90.00 90.00°
Space group Pnma (No. 62)
One atom of each set of equivalent atoms:
Lu (0.020, 0.250, 0.245) [4 per cell]
Cu (0.237, 0.250, 0.720) [4 per cell]
Pb (0.226, 0.750, 0.507) [4 per cell]
Se (0.043, 0.250, 0.616) [4 per cell]
Se (0.081, 0.750, 0.109) [4 per cell]
Se (0.232, 0.750, 0.829) [4 per cell]

Peak list (10 most intense, 10° ≤ 2θ ≤ 80°, sorted by position)
hkl 2 0 2, 2θ 21.37, I 53.6
hkl 0 1 3, 2θ 29.62, I 22.1
hkl 1 1 3, 2θ 30.86, I 100.0
hkl 4 0 0, 2θ 34.27, I 95.2
hkl 3 1 1, 2θ 34.61, I 31.7
hkl 3 1 3, 2θ 39.47, I 20.7
hkl 2 0 6, 2θ 43.36, I 30.7
hkl 4 0 4, 2θ 43.58, I 37.7
hkl 0 2 0, 2θ 45.02, I 31.6
hkl 2 2 6, 2θ 64.28, I 19.4

---

Record 4
# LuThCuPd
Simulated X-ray diffraction stick pattern, Cu Kα (λ = 1.5418 Å). Input: the GGA-PBE geometry in Alexandria.

Cell and atoms:
Cell: 7.069 7.069 7.069 Å, 90.00 90.00 90.00°
Space group F-43m (No. 216)
One atom of each set of equivalent atoms:
Lu (0.000, 0.000, 0.000) [4 per cell]
Th (0.000, 0.000, 0.500) [4 per cell]
Cu (0.250, 0.250, 0.250) [4 per cell]
Pd (0.250, 0.250, 0.750) [4 per cell]

Peak list (10 most intense, 10° ≤ 2θ ≤ 80°, sorted by position)
hkl 1 1 1, 2θ 21.78, I 2.8
hkl 2 0 0, 2θ 25.20, I 17.5
hkl 2 2 0, 2θ 35.94, I 100.0
hkl 3 1 1, 2θ 42.41, I 1.6
hkl 2 2 2, 2θ 44.40, I 5.5
hkl 4 0 0, 2θ 51.73, I 17.7
hkl 3 3 1, 2θ 56.77, I 0.7
hkl 4 2 0, 2θ 58.39, I 7.8
hkl 4 2 2, 2θ 64.59, I 36.2
hkl 4 4 0, 2θ 76.19, I 11.2